Computed XRD peak list
Compound: LiEuDy
Radiation: λ = 1.5418 Å (Cu Kα)
Structure: the PBE geometry in Alexandria
Kinematic intensities with the Lorentz-polarization factor, no thermal factor.

Peak list (10 most intense, 2θ from 5° to 70°, in order of rising 2θ)
2θ (°), I (rel.), h k l
13.7, 16.0, 0 0 2
24.6, 65.6, 1 0 1
27.6, 23.9, 0 0 4
31.5, 100.0, 1 0 3
33.6, 46.8, 1 1 0
44.0, 27.2, 1 1 4
48.2, 16.9, 2 0 0
54.7, 15.1, 1 1 6
55.3, 19.2, 1 0 7
58.7, 34.0, 2 1 3

Structural model:
Lattice parameters (Å, degrees): 3.7754 3.7754 12.9468 90.00 90.00 90.00
Fractional positions:
Li: 0.0000 0.0000 0.0000
Li: 0.5000 0.5000 0.5000
Eu: 0.0000 0.0000 0.3404
Eu: 0.5000 0.5000 0.8404
Dy: 0.0000 0.0000 0.6400
Dy: 0.5000 0.5000 0.1400